# PmY4Ho7
Theoretical XRD peak list, copper Kα. Input: a DFT-relaxed cell (GGA-PBE, Alexandria).
Peak positions follow from Bragg's law for the DFT cell and can differ from measured ones.

Atomic structure:
abc: 6.2024 7.1603 8.8177
angles: 90.02 103.55 90.02
Element x y z (fractional)
Pm 0.0000 0.0000 0.0000
Y 0.2221 0.5001 0.6662
Y 0.2799 0.2498 0.3351
Y 0.7201 0.7502 0.6649
Y 0.7779 0.4999 0.3338
Ho 0.0000 0.5000 0.0000
Ho 0.2216 0.0001 0.6659
Ho 0.2770 0.7503 0.3342
Ho 0.4991 0.7503 0.0010
Ho 0.5009 0.2497 0.9990
Ho 0.7230 0.2497 0.6658
Ho 0.7784 0.9999 0.3341

The 12 most intense peaks (2θ = 10–80°), by angle:
2θ (°)  I_rel  hkl
29.00  43  1 2 0
31.30  49  0 0 3
32.05  100  1 2 1
33.75  90  2 0 1
40.42  17  1 2 -3
45.84  13  1 2 3
51.01  37  0 4 0
55.07  21  1 2 4
58.39  19  2 0 4
61.08  43  3 2 2
61.53  15  2 4 -2
62.58  15  2 4 1